Simulated powder diffraction line list
Compound: Gd2Mg3InNi2
Radiation: Cu Kα (λ = 1.5418 Å)
Structure: DFT lattice parameters and positions (GGA-PBE)
Peak positions follow from Bragg's law for the DFT cell and can differ from measured ones.

Cell and atoms:
```
Gd2Mg3InNi2
1.0
4.926 -2.109 0.000
4.926 2.109 0.000
-0.042 0.000 7.993
Gd Mg In Ni
2 3 1 2
direct
0.000 0.000 0.000
0.119 0.119 0.501
0.407 0.407 0.305
0.711 0.711 0.196
0.712 0.712 0.806
0.414 0.414 0.697
0.289 0.289 0.999
0.831 0.831 0.501
```

Peak list (6 most intense, 2θ = 10–80°, low angle first)
| 2θ (°) | intensity |
| --- | --- |
| 22.24 | 34 |
| 22.93 | 29 |
| 32.16 | 100 |
| 36.46 | 82 |
| 38.18 | 23 |
| 42.88 | 28 |